# CrInNi2C
Calculated powder diffraction line list, Cu Kα, 1.54184 Å. Input: a PBE-relaxed structure.

Most intense lines, 10° ≤ 2θ ≤ 90°, by intensity:
- (1 1 1), 2θ 40.23, I 100
- (2 0 0), 2θ 46.67, I 36
- (3 1 1), 2θ 82.20, I 22
- (2 0 2), 2θ 68.43, I 21
- (0 0 2), 2θ 47.04, I 18
- (1 0 1), 2θ 32.66, I 11
- (1 1 3), 2θ 82.74, I 11
- (2 2 2), 2θ 86.92, I 11

Cell and atoms:
Unit cell a=3.8922 b=3.8922 c=3.8634 alpha=90.00 beta=90.00 gamma=90.00
Sites, in units of the cell vectors:
1 Cr 0.0000 0.0000 0.0000
2 In 0.5000 0.5000 0.0000
3 Ni 0.0000 0.5000 0.5000
4 Ni 0.5000 0.0000 0.5000
5 C 0.0000 0.0000 0.5000